[1]
Structure and computed XRD peak list of TbPu3 (a DFT-relaxed cell (PBE, the Materials Project); Cu Kα).
No peak broadening, texture or thermal motion is included.

Largest 10 diffraction maxima, most intense first, 10 to 90 degrees two-theta:
2theta  d/Å  I (rel.)
33.9  2.642  100
32.2  2.784  26
29.8  3.001  23
63.2  1.471  23
58.5  1.578  22
52.8  1.733  19
64.3  1.449  16
44.4  2.041  16
87.8  1.111  15
82.7  1.167  8

Crystal structure
Unit cell a=6.9305 b=6.9305 c=5.5672 alpha=90.00 beta=90.00 gamma=120.00
Sites, in units of the cell vectors:
Tb1 0.3333 0.6667 0.2500
Tb2 0.6667 0.3333 0.7500
Pu1 0.1634 0.3269 0.7500
Pu2 0.1634 0.8366 0.7500
Pu3 0.3269 0.1634 0.2500
Pu4 0.6731 0.8366 0.7500
Pu5 0.8366 0.1634 0.2500
Pu6 0.8366 0.6731 0.2500

[2]
Structure and computed XRD peak list of Cs3IrBr6O (a DFT-relaxed cell (PBE, the Materials Project); Cu Kα).
No peak broadening, texture or thermal motion is included.

Largest 10 diffraction maxima, most intense first, 10 to 90 degrees two-theta:
2theta  d/Å  I (rel.)
12.9  6.866  100
31.1  2.880  81
29.6  3.021  64
32.8  2.729  58
20.4  4.364  37
23.7  3.750  33
52.2  1.752  31
31.3  2.857  29
23.3  3.819  26
14.5  6.128  23

Crystal structure
Unit cell a=13.4134 b=7.6370 c=15.9524 alpha=90.00 beta=90.00 gamma=90.00
Sites, in units of the cell vectors:
Cs1 0.0596 0.2500 0.1434
Cs2 0.1126 0.7500 0.5388
Cs3 0.1658 0.2500 0.7738
Cs4 0.3342 0.7500 0.2738
Cs5 0.3874 0.2500 0.0388
Cs6 0.4404 0.7500 0.6434
Cs7 0.5596 0.2500 0.3566
Cs8 0.6126 0.7500 0.9612
Cs9 0.6658 0.2500 0.7262
Cs10 0.8342 0.7500 0.2262
Cs11 0.8874 0.2500 0.4612
Cs12 0.9404 0.7500 0.8566
Ir1 0.2245 0.2500 0.4050
Ir2 0.2755 0.7500 0.9050
Ir3 0.7245 0.2500 0.0950
Ir4 0.7755 0.7500 0.5950
Br1 0.1072 0.0196 0.3493
Br2 0.1072 0.4804 0.3493
Br3 0.1372 0.2500 0.5443
Br4 0.1586 0.5210 0.9607
Br5 0.1586 0.9790 0.9607
Br6 0.1879 0.7500 0.7635
Br7 0.3121 0.2500 0.2635
Br8 0.3414 0.0210 0.4607
Br9 0.3414 0.4790 0.4607
Br10 0.3628 0.7500 0.0443
Br11 0.3928 0.5196 0.8493
Br12 0.3928 0.9804 0.8493
Br13 0.6072 0.0196 0.1507
Br14 0.6072 0.4804 0.1507
Br15 0.6372 0.2500 0.9557
Br16 0.6586 0.5210 0.5393
Br17 0.6586 0.9790 0.5393
Br18 0.6879 0.7500 0.7365
Br19 0.8121 0.2500 0.2365
Br20 0.8414 0.0210 0.0393
Br21 0.8414 0.4790 0.0393
Br22 0.8628 0.7500 0.4557
Br23 0.8928 0.5196 0.6507
Br24 0.8928 0.9804 0.6507
O1 0.0606 0.7500 0.1606
O2 0.4394 0.2500 0.6606
O3 0.5606 0.7500 0.3394
O4 0.9394 0.2500 0.8394

[3]
Structure and computed XRD peak list of Si2P2Pt (a DFT-relaxed cell (PBE, the Materials Project); Cu Kα).
No peak broadening, texture or thermal motion is included.

Largest 10 diffraction maxima, most intense first, 10 to 90 degrees two-theta:
2theta  d/Å  I (rel.)
30.6  2.920  100
17.6  5.034  92
26.1  3.420  80
30.3  2.953  76
28.9  3.093  56
20.9  4.255  42
51.3  1.782  37
17.8  4.990  36
41.0  2.203  35
25.3  3.514  35

Crystal structure
Unit cell a=6.0669 b=9.6142 c=12.1209 alpha=90.00 beta=102.98 gamma=90.00
Sites, in units of the cell vectors:
Si1 0.0339 0.0000 0.3322
Si2 0.0395 0.6948 0.1783
Si3 0.2416 0.5698 0.5745
Si4 0.2510 0.8225 0.4373
Si5 0.2547 0.0511 0.9159
Si6 0.4420 0.3721 0.6388
Si7 0.4498 0.3466 0.8298
Si8 0.4529 0.2114 0.1633
Si9 0.5471 0.7114 0.8367
Si10 0.5502 0.8466 0.1702
Si11 0.5580 0.8721 0.3612
Si12 0.7453 0.5511 0.0841
Si13 0.7490 0.3225 0.5627
Si14 0.7584 0.0698 0.4255
Si15 0.9605 0.1948 0.8217
Si16 0.9661 0.5000 0.6678
P1 0.0458 0.8648 0.6709
P2 0.0715 0.8470 0.8609
P3 0.2344 0.3869 0.0689
P4 0.2386 0.2009 0.3902
P5 0.2516 0.1736 0.5808
P6 0.2656 0.6590 0.9269
P7 0.2714 0.0077 0.1034
P8 0.4511 0.5377 0.3247
P9 0.5489 0.0377 0.6753
P10 0.7286 0.5077 0.8966
P11 0.7345 0.1590 0.0731
P12 0.7484 0.6736 0.4192
P13 0.7614 0.7009 0.6098
P14 0.7656 0.8869 0.9311
P15 0.9285 0.3470 0.1391
P16 0.9542 0.3648 0.3291
Pt1 0.0902 0.4346 0.8635
Pt2 0.0932 0.5970 0.3730
Pt3 0.3909 0.6172 0.1281
Pt4 0.4132 0.7923 0.6434
Pt5 0.5868 0.2923 0.3566
Pt6 0.6091 0.1172 0.8719
Pt7 0.9068 0.0970 0.6270
Pt8 0.9098 0.9346 0.1365

[4]
Structure and computed XRD peak list of Sm2Sn2O7 (a DFT-relaxed cell (PBE, the Materials Project); Cu Kα).
No peak broadening, texture or thermal motion is included.

Largest 10 diffraction maxima, most intense first, 10 to 90 degrees two-theta:
2theta  d/Å  I (rel.)
29.1  3.070  100
48.4  1.880  49
57.5  1.603  45
33.7  2.659  33
78.4  1.220  19
80.8  1.189  15
60.3  1.535  10
70.9  1.330  7
36.8  2.440  2
14.4  6.141  1

Crystal structure
Unit cell a=7.5209 b=7.5209 c=7.5209 alpha=60.00 beta=60.00 gamma=60.00
Sites, in units of the cell vectors:
Sm1 0.0000 0.0000 0.0000
Sm2 0.0000 0.0000 0.5000
Sm3 0.0000 0.5000 0.0000
Sm4 0.5000 0.0000 0.0000
Sn1 0.0000 0.5000 0.5000
Sn2 0.5000 0.0000 0.5000
Sn3 0.5000 0.5000 0.0000
Sn4 0.5000 0.5000 0.5000
O1 0.1250 0.1250 0.1250
O2 0.1640 0.1640 0.5860
O3 0.1640 0.5860 0.1640
O4 0.1640 0.5860 0.5860
O5 0.4140 0.4140 0.8360
O6 0.4140 0.8360 0.4140
O7 0.4140 0.8360 0.8360
O8 0.5860 0.1640 0.1640
O9 0.5860 0.1640 0.5860
O10 0.5860 0.5860 0.1640
O11 0.8360 0.4140 0.4140
O12 0.8360 0.4140 0.8360
O13 0.8360 0.8360 0.4140
O14 0.8750 0.8750 0.8750